Record 1
Theoretical X-ray diffraction stick pattern of CrFe6Mo for CuKα, from a structure optimized by DFT (PBE).

Structure:
```
data_CrFe6Mo
_space_group_name_H-M_alt 'C m m m'
_space_group_IT_number 65
_space_group_name_Hall '-C 2 2'
_cell_length_a 7.166
_cell_length_b 10.132
_cell_length_c 10.132
_cell_angle_alpha 90.00
_cell_angle_beta 90.00
_cell_angle_gamma 90.00
loop_
_atom_site_label
_atom_site_type_symbol
_atom_site_fract_x
_atom_site_fract_y
_atom_site_fract_z
_atom_site_occupancy
Cr1 Cr 0.000 0.000 0.249 1
Cr2 Cr 0.000 0.253 0.500 1
Fe1 Fe 0.000 0.000 0.000 1
Fe2 Fe 0.000 0.000 0.500 1
Fe3 Fe 0.000 0.247 0.255 1
Fe4 Fe 0.000 0.500 0.000 1
Fe5 Fe 0.000 0.500 0.500 1
Fe6 Fe 0.244 0.123 0.128 1
Fe7 Fe 0.245 0.126 0.377 1
Mo1 Mo 0.000 0.254 0.000 1
Mo2 Mo 0.000 0.500 0.248 1
```

Largest 8 diffraction maxima, sorted by position, 2θ from 10° to 90°:
(hkl)	d (Å)	2theta	Rel. int.
1 1 2	3.830	23.2	1
2 0 0	3.582	24.9	2
0 2 3	2.810	31.8	1
2 2 2	2.533	35.4	1
3 1 0	2.325	38.7	1
2 4 0	2.068	43.8	100
0 4 4	1.791	51.0	46
0 8 0	1.267	75.0	27

=====

Record 2
Theoretical X-ray diffraction stick pattern of Cr4FeN for CuKα, from a structure optimized by DFT (PBE).

Structure:
```
data_Cr4FeN
_space_group_name_H-M_alt 'P m n a'
_space_group_IT_number 53
_space_group_name_Hall '-P 2ac 2'
_cell_length_a 4.672
_cell_length_b 4.836
_cell_length_c 5.963
_cell_angle_alpha 90.00
_cell_angle_beta 90.00
_cell_angle_gamma 90.00
loop_
_atom_site_label
_atom_site_type_symbol
_atom_site_fract_x
_atom_site_fract_y
_atom_site_fract_z
_atom_site_occupancy
Cr1 Cr 0.000 0.162 0.136 1
Cr2 Cr 0.250 0.341 0.750 1
Fe1 Fe 0.000 0.000 0.500 1
N1 N 0.000 0.500 0.000 1
```

Largest 8 diffraction maxima, sorted by position, 2θ from 10° to 90°:
(hkl)	d (Å)	2theta	Rel. int.
0 1 2	2.538	35.4	40
0 2 1	2.241	40.2	86
1 1 2	2.230	40.4	48
2 1 0	2.103	43.0	63
2 1 1	1.984	45.7	100
2 0 2	1.839	49.6	71
1 0 3	1.829	49.9	28
1 1 3	1.711	53.6	33

=====

- Which formula does entry 2 have?
  Cr4FeN